Diffraction record for HoTa2Fe9. The powder X-ray diffraction pattern is simulated, not measured: it uses a structure optimized by DFT (GGA-PBE) and λ = 1.5418 Å (Cu Kα).

Top 6 peaks for 5 to 70 degrees two-theta, most intense first:
43.59 deg, intensity 100
36.74 deg, intensity 57
34.02 deg, intensity 50
42.86 deg, intensity 36
37.18 deg, intensity 29
21.31 deg, intensity 17

Structure:
```
data_HoTa2Fe9
_cell_length_a 4.8925
_cell_length_b 4.8925
_cell_length_c 23.5616
_cell_angle_alpha 90.00
_cell_angle_beta 90.00
_cell_angle_gamma 120.00
_space_group_name_H-M_alt 'R -3 m'
_space_group_IT_number 166
_space_group_name_Hall '-R 3 2"'
loop_
_atom_site_label
_atom_site_type_symbol
_atom_site_fract_x
_atom_site_fract_y
_atom_site_fract_z
Ho1 Ho 0.0000 0.0000 0.0000
Ta1 Ta 0.0000 0.0000 0.1439
Fe1 Fe 0.0000 0.0000 0.3335
Fe2 Fe 0.0000 0.0000 0.5000
Fe3 Fe 0.0043 0.5021 0.9135
```


Diffraction record for Ho2FeTc3. The powder X-ray diffraction pattern is simulated, not measured: it uses a structure optimized by DFT (GGA-PBE) and λ = 1.5418 Å (Cu Kα).

Top 6 peaks for 5 to 70 degrees two-theta, most intense first:
39.68 deg, intensity 100
33.11 deg, intensity 74
40.07 deg, intensity 74
38.89 deg, intensity 56
34.02 deg, intensity 41
41.80 deg, intensity 39

Structure:
```
data_Ho2FeTc3
_cell_length_a 5.2713
_cell_length_b 5.2713
_cell_length_c 13.4349
_cell_angle_alpha 90.00
_cell_angle_beta 90.00
_cell_angle_gamma 120.00
_space_group_name_H-M_alt 'R -3 m'
_space_group_IT_number 166
_space_group_name_Hall '-R 3 2"'
loop_
_atom_site_label
_atom_site_type_symbol
_atom_site_fract_x
_atom_site_fract_y
_atom_site_fract_z
Ho1 Ho 0.0000 0.0000 0.1239
Fe1 Fe 0.0000 0.0000 0.5000
Tc1 Tc 0.0000 0.5000 0.0000
```


Diffraction record for HoFeTe. The powder X-ray diffraction pattern is simulated, not measured: it uses a structure optimized by DFT (GGA-PBE) and λ = 1.5418 Å (Cu Kα).

Top 6 peaks for 5 to 70 degrees two-theta, most intense first:
32.21 deg, intensity 100
7.30 deg, intensity 56
47.86 deg, intensity 48
38.62 deg, intensity 43
27.20 deg, intensity 41
33.63 deg, intensity 40

Structure:
```
data_HoFeTe
_cell_length_a 3.8009
_cell_length_b 3.8009
_cell_length_c 36.3186
_cell_angle_alpha 90.00
_cell_angle_beta 90.00
_cell_angle_gamma 120.00
_space_group_name_H-M_alt 'R -3 m'
_space_group_IT_number 166
_space_group_name_Hall '-R 3 2"'
loop_
_atom_site_label
_atom_site_type_symbol
_atom_site_fract_x
_atom_site_fract_y
_atom_site_fract_z
Ho1 Ho 0.0000 0.0000 0.0566
Fe1 Fe 0.0000 0.0000 0.3346
Te1 Te 0.0000 0.0000 0.2174
```


Diffraction record for Ho6FeTe4. The powder X-ray diffraction pattern is simulated, not measured: it uses a structure optimized by DFT (GGA-PBE) and λ = 1.5418 Å (Cu Kα).

Top 6 peaks for 5 to 70 degrees two-theta, most intense first:
35.05 deg, intensity 100
31.83 deg, intensity 39
33.11 deg, intensity 37
53.30 deg, intensity 30
35.86 deg, intensity 25
25.74 deg, intensity 25

Structure:
```
data_Ho6FeTe4
_cell_length_a 11.9148
_cell_length_b 11.9148
_cell_length_c 15.0267
_cell_angle_alpha 90.00
_cell_angle_beta 90.00
_cell_angle_gamma 120.00
_space_group_name_H-M_alt 'R -3 c'
_space_group_IT_number 167
_space_group_name_Hall '-R 3 2"c'
loop_
_atom_site_label
_atom_site_type_symbol
_atom_site_fract_x
_atom_site_fract_y
_atom_site_fract_z
Ho1 Ho 0.0280 0.1868 0.4021
Fe1 Fe 0.0000 0.0000 0.0000
Te1 Te 0.0000 0.0000 0.2500
Te2 Te 0.0000 0.3706 0.2500
```